1.
TlSn4Se8: theoretical X-ray powder pattern (Cu Kα, 1.54184 Å), based on DFT lattice parameters and positions (PBE).
Neutral-atom scattering factors, no anomalous dispersion.

The 10 most intense peaks (2θ = 5–70°), by intensity:
2θ/deg, I (rel.)
30.23, 100
10.98, 53
39.97, 36
46.40, 35
37.17, 19
56.38, 18
13.56, 15
14.98, 13
49.42, 12
66.62, 10

Atomic structure:
Unit cell a=9.239 b=9.239 c=9.239 alpha=50.13 beta=50.13 gamma=50.13
Element x y z (fractional)
Tl 0.000 0.000 0.000
Sn 0.000 0.000 0.500
Sn 0.000 0.500 0.000
Sn 0.500 0.000 0.000
Sn 0.500 0.500 0.500
Se 0.233 0.233 0.233
Se 0.235 0.732 0.732
Se 0.268 0.268 0.765
Se 0.268 0.765 0.268
Se 0.732 0.235 0.732
Se 0.732 0.732 0.235
Se 0.765 0.268 0.268
Se 0.767 0.767 0.767

2.
TlSn6Se8: theoretical X-ray powder pattern (Cu Kα, 1.54184 Å), based on DFT lattice parameters and positions (PBE).
Neutral-atom scattering factors, no anomalous dispersion.

The 10 most intense peaks (2θ = 5–70°), by intensity:
2θ/deg, I (rel.)
32.70, 100
39.20, 83
24.92, 57
28.32, 43
22.88, 41
28.19, 40
34.20, 35
43.87, 30
47.01, 26
58.58, 24

Atomic structure:
Unit cell a=10.915 b=10.915 c=4.264 alpha=90.00 beta=90.00 gamma=120.00
Element x y z (fractional)
Tl 0.000 0.000 0.000
Sn 0.138 0.471 0.749
Sn 0.333 0.862 0.749
Sn 0.471 0.333 0.251
Sn 0.529 0.667 0.749
Sn 0.667 0.138 0.251
Sn 0.862 0.529 0.251
Se 0.032 0.699 0.753
Se 0.301 0.333 0.753
Se 0.333 0.032 0.247
Se 0.333 0.667 0.248
Se 0.667 0.333 0.752
Se 0.667 0.968 0.753
Se 0.699 0.667 0.247
Se 0.968 0.301 0.247

3.
TlSn3Se3: theoretical X-ray powder pattern (Cu Kα, 1.54184 Å), based on DFT lattice parameters and positions (PBE).
Neutral-atom scattering factors, no anomalous dispersion.

The 10 most intense peaks (2θ = 5–70°), by intensity:
2θ/deg, I (rel.)
30.66, 100
31.56, 52
30.14, 51
23.77, 30
37.81, 24
45.90, 24
25.06, 23
43.20, 20
32.61, 18
49.47, 17

Atomic structure:
Unit cell a=6.142 b=6.468 c=10.841 alpha=94.69 beta=98.72 gamma=105.43
Element x y z (fractional)
Tl 0.219 0.362 0.030
Tl 0.781 0.638 0.970
Sn 0.047 0.573 0.294
Sn 0.312 0.212 0.448
Sn 0.360 0.007 0.822
Sn 0.640 0.993 0.178
Sn 0.688 0.788 0.552
Sn 0.953 0.427 0.706
Se 0.182 0.964 0.194
Se 0.213 0.810 0.544
Se 0.398 0.392 0.724
Se 0.602 0.608 0.276
Se 0.787 0.190 0.456
Se 0.818 0.036 0.806

4.
Tl5SnSe5: theoretical X-ray powder pattern (Cu Kα, 1.54184 Å), based on DFT lattice parameters and positions (PBE).
Neutral-atom scattering factors, no anomalous dispersion.

The 10 most intense peaks (2θ = 5–70°), by intensity:
2θ/deg, I (rel.)
28.48, 100
27.88, 95
30.20, 88
41.99, 71
41.56, 65
24.79, 59
25.08, 58
39.90, 35
50.84, 35
51.46, 35

Atomic structure:
Unit cell a=7.672 b=7.672 c=9.040 alpha=108.23 beta=108.23 gamma=45.38
Element x y z (fractional)
Tl 0.000 0.000 0.000
Tl 0.316 0.316 0.186
Tl 0.326 0.326 0.651
Tl 0.674 0.674 0.349
Tl 0.684 0.684 0.814
Sn 0.000 0.000 0.500
Se 0.157 0.157 0.343
Se 0.160 0.160 0.819
Se 0.500 0.500 0.500
Se 0.840 0.840 0.181
Se 0.843 0.843 0.657

5.
Tl5Sn2Se5: theoretical X-ray powder pattern (Cu Kα, 1.54184 Å), based on DFT lattice parameters and positions (PBE).
Neutral-atom scattering factors, no anomalous dispersion.

The 10 most intense peaks (2θ = 5–70°), by intensity:
2θ/deg, I (rel.)
26.17, 100
30.48, 68
37.11, 57
28.88, 57
27.48, 49
34.62, 48
41.49, 44
24.85, 40
48.75, 37
27.11, 35

Atomic structure:
Unit cell a=7.582 b=7.582 c=12.408 alpha=109.60 beta=109.60 gamma=37.27
Element x y z (fractional)
Tl 0.000 0.000 0.000
Tl 0.158 0.158 0.553
Tl 0.234 0.234 0.851
Tl 0.766 0.766 0.149
Tl 0.842 0.842 0.447
Sn 0.452 0.452 0.705
Sn 0.548 0.548 0.295
Se 0.142 0.142 0.290
Se 0.388 0.388 0.102
Se 0.500 0.500 0.500
Se 0.612 0.612 0.898
Se 0.858 0.858 0.710

6.
YTmSnSe: theoretical X-ray powder pattern (Cu Kα, 1.54184 Å), based on DFT lattice parameters and positions (PBE).
Neutral-atom scattering factors, no anomalous dispersion.

The 10 most intense peaks (2θ = 5–70°), by intensity:
2θ/deg, I (rel.)
29.78, 100
42.75, 75
29.96, 49
52.97, 40
42.62, 38
20.94, 15
61.86, 13
36.84, 8
62.25, 6
57.58, 5

Atomic structure:
Unit cell a=4.242 b=4.242 c=5.965 alpha=90.00 beta=90.00 gamma=90.00
Element x y z (fractional)
Y 0.000 0.000 0.000
Tm 0.500 0.500 0.500
Sn 0.500 0.500 0.000
Se 0.000 0.000 0.500

7.
YSn2Se4: theoretical X-ray powder pattern (Cu Kα, 1.54184 Å), based on DFT lattice parameters and positions (PBE).
Neutral-atom scattering factors, no anomalous dispersion.

The 10 most intense peaks (2θ = 5–70°), by intensity:
2θ/deg, I (rel.)
32.41, 100
30.36, 88
23.20, 83
40.19, 71
28.87, 66
44.01, 50
44.48, 42
41.90, 42
29.65, 42
45.47, 40

Atomic structure:
Unit cell a=7.179 b=7.179 c=13.842 alpha=90.00 beta=90.00 gamma=147.73
Element x y z (fractional)
Y 0.113 0.887 0.750
Y 0.887 0.113 0.250
Sn 0.367 0.633 0.567
Sn 0.367 0.633 0.933
Sn 0.633 0.367 0.067
Sn 0.633 0.367 0.433
Se 0.000 0.000 0.000
Se 0.000 0.000 0.500
Se 0.285 0.715 0.127
Se 0.285 0.715 0.373
Se 0.466 0.534 0.750
Se 0.534 0.466 0.250
Se 0.715 0.285 0.627
Se 0.715 0.285 0.873

8.
Y7SnSe5: theoretical X-ray powder pattern (Cu Kα, 1.54184 Å), based on DFT lattice parameters and positions (PBE).
Neutral-atom scattering factors, no anomalous dispersion.

The 10 most intense peaks (2θ = 5–70°), by intensity:
2θ/deg, I (rel.)
30.41, 100
31.54, 68
29.13, 60
40.63, 38
43.75, 37
44.52, 32
32.55, 30
44.83, 25
53.42, 21
43.93, 19

Atomic structure:
Unit cell a=6.991 b=6.991 c=24.155 alpha=90.00 beta=90.00 gamma=145.57
Element x y z (fractional)
Y 0.027 0.973 0.750
Y 0.138 0.862 0.036
Y 0.138 0.862 0.464
Y 0.318 0.682 0.678
Y 0.318 0.682 0.822
Y 0.402 0.598 0.117
Y 0.402 0.598 0.383
Y 0.598 0.402 0.617
Y 0.598 0.402 0.883
Y 0.682 0.318 0.178
Y 0.682 0.318 0.322
Y 0.862 0.138 0.536
Y 0.862 0.138 0.964
Y 0.973 0.027 0.250
Sn 0.304 0.696 0.250
Sn 0.696 0.304 0.750
Se 0.046 0.954 0.141
Se 0.046 0.954 0.359
Se 0.226 0.774 0.572
Se 0.226 0.774 0.928
Se 0.500 0.500 0.000
Se 0.500 0.500 0.500
Se 0.774 0.226 0.072
Se 0.774 0.226 0.428
Se 0.954 0.046 0.641
Se 0.954 0.046 0.859

9.
Y2SnSe2: theoretical X-ray powder pattern (Cu Kα, 1.54184 Å), based on DFT lattice parameters and positions (PBE).
Neutral-atom scattering factors, no anomalous dispersion.

The 10 most intense peaks (2θ = 5–70°), by intensity:
2θ/deg, I (rel.)
34.29, 100
34.51, 69
61.26, 26
28.48, 22
66.19, 19
48.94, 14
42.42, 14
30.77, 12
39.34, 12
52.05, 11

Atomic structure:
Unit cell a=8.218 b=8.218 c=3.722 alpha=90.00 beta=90.00 gamma=90.00
Element x y z (fractional)
Y 0.160 0.340 0.000
Y 0.340 0.840 0.000
Y 0.660 0.160 0.000
Y 0.840 0.660 0.000
Sn 0.000 0.000 0.000
Sn 0.500 0.500 0.000
Se 0.139 0.639 0.500
Se 0.361 0.139 0.500
Se 0.639 0.861 0.500
Se 0.861 0.361 0.500

10.
ZnSnSe: theoretical X-ray powder pattern (Cu Kα, 1.54184 Å), based on DFT lattice parameters and positions (PBE).
Neutral-atom scattering factors, no anomalous dispersion.

The 10 most intense peaks (2θ = 5–70°), by intensity:
2θ/deg, I (rel.)
30.17, 100
31.28, 80
30.98, 58
43.75, 37
46.38, 34
45.56, 29
44.14, 29
34.35, 25
44.27, 22
28.69, 20

Atomic structure:
Unit cell a=3.983 b=5.926 c=6.516 alpha=89.85 beta=72.75 gamma=88.94
Element x y z (fractional)
Zn 0.040 0.288 0.423
Zn 0.960 0.712 0.577
Sn 0.413 0.264 0.767
Sn 0.587 0.736 0.233
Se 0.353 0.750 0.842
Se 0.647 0.250 0.158

11.
Zr5Sn3Se: theoretical X-ray powder pattern (Cu Kα, 1.54184 Å), based on DFT lattice parameters and positions (PBE).
Neutral-atom scattering factors, no anomalous dispersion.

The 10 most intense peaks (2θ = 5–70°), by intensity:
2θ/deg, I (rel.)
36.18, 100
34.98, 81
35.98, 68
46.20, 27
55.89, 21
51.95, 20
29.45, 14
68.03, 12
64.81, 11
61.11, 10

Atomic structure:
Unit cell a=8.647 b=8.647 c=6.066 alpha=90.00 beta=90.00 gamma=120.00
Element x y z (fractional)
Zr 0.000 0.262 0.250
Zr 0.000 0.738 0.750
Zr 0.262 0.000 0.250
Zr 0.262 0.262 0.750
Zr 0.333 0.667 0.000
Zr 0.333 0.667 0.500
Zr 0.667 0.333 0.000
Zr 0.667 0.333 0.500
Zr 0.738 0.000 0.750
Zr 0.738 0.738 0.250
Sn 0.000 0.396 0.750
Sn 0.000 0.604 0.250
Sn 0.396 0.000 0.750
Sn 0.396 0.396 0.250
Sn 0.604 0.000 0.250
Sn 0.604 0.604 0.750
Se 0.000 0.000 0.000
Se 0.000 0.000 0.500

12.
Sr2Se: theoretical X-ray powder pattern (Cu Kα, 1.54184 Å), based on DFT lattice parameters and positions (PBE).
Neutral-atom scattering factors, no anomalous dispersion.

The 10 most intense peaks (2θ = 5–70°), by intensity:
2θ/deg, I (rel.)
26.52, 100
34.04, 49
41.38, 33
44.06, 23
12.05, 19
49.83, 17
66.55, 16
66.71, 14
54.62, 12
62.04, 8

Atomic structure:
Unit cell a=4.364 b=4.364 c=7.346 alpha=90.00 beta=90.00 gamma=120.00
Element x y z (fractional)
Sr 0.333 0.667 0.245
Sr 0.667 0.333 0.755
Se 0.000 0.000 0.500

13.
Sr5Se3: theoretical X-ray powder pattern (Cu Kα, 1.54184 Å), based on DFT lattice parameters and positions (PBE).
Neutral-atom scattering factors, no anomalous dispersion.

The 10 most intense peaks (2θ = 5–70°), by intensity:
2θ/deg, I (rel.)
30.40, 100
27.90, 20
39.95, 16
36.91, 15
30.26, 14
22.76, 13
66.68, 12
46.49, 10
55.51, 9
28.35, 8

Atomic structure:
Unit cell a=8.040 b=8.040 c=4.514 alpha=90.00 beta=90.00 gamma=105.42
Element x y z (fractional)
Sr 0.000 0.000 0.000
Sr 0.000 0.500 0.000
Sr 0.295 0.295 0.500
Sr 0.500 0.000 0.000
Sr 0.705 0.705 0.500
Se 0.172 0.828 0.500
Se 0.500 0.500 0.000
Se 0.828 0.172 0.500